Computed XRD peak list of BaGaCu for Cu Kα X-rays, from DFT lattice parameters and positions (PBE).
Lines closer than 0.1° are merged.

Cell and atoms:
```
data_BaGaCu
_cell_length_a 7.031
_cell_length_b 7.031
_cell_length_c 7.031
_cell_angle_alpha 90.00
_cell_angle_beta 90.00
_cell_angle_gamma 90.00
_space_group_name_H-M_alt 'F -4 3 m'
_space_group_IT_number 216
_space_group_name_Hall 'F -4 2 3'
loop_
_atom_site_label
_atom_site_type_symbol
_atom_site_fract_x
_atom_site_fract_y
_atom_site_fract_z
_atom_site_occupancy
Ba1 Ba 0.000 0.000 0.000 1
Ga1 Ga 0.000 0.000 0.500 1
Cu1 Cu 0.250 0.250 0.250 1
```

Main lines, most intense first (2θ from 10° to 90°):
2θ 36.1, 2.486 Å, intensity 100, (2 2 0)
2θ 65.0, 1.435 Å, intensity 34, (4 2 2)
2θ 25.3, 3.515 Å, intensity 31, (2 0 0)
2θ 21.9, 4.059 Å, intensity 26, (1 1 1)
2θ 52.0, 1.758 Å, intensity 17, (4 0 0)
2θ 87.8, 1.112 Å, intensity 15, (6 2 0)
2θ 42.7, 2.120 Å, intensity 13, (3 1 1)
2θ 58.7, 1.572 Å, intensity 12, (4 2 0)



Computed XRD peak list of RbHfO3 for Cu Kα X-rays, from DFT lattice parameters and positions (PBE).
Lines closer than 0.1° are merged.

Cell and atoms:
```
data_RbHfO3
_cell_length_a 4.161
_cell_length_b 4.161
_cell_length_c 4.180
_cell_angle_alpha 90.00
_cell_angle_beta 90.00
_cell_angle_gamma 90.00
_space_group_name_H-M_alt 'P 4 m m'
_space_group_IT_number 99
loop_
_space_group_symop_operation_xyz
'x,y,z'
'-y,x,z'
'-x,-y,z'
'y,-x,z'
'-x,y,z'
'y,x,z'
'x,-y,z'
'-y,-x,z'
loop_
_atom_site_label
_atom_site_type_symbol
_atom_site_fract_x
_atom_site_fract_y
_atom_site_fract_z
_atom_site_occupancy
Rb1 Rb 0.000 0.000 0.000 1
Hf1 Hf 0.500 0.500 0.498 1
O1 O 0.000 0.500 0.495 1
O2 O 0.500 0.500 0.997 1
```

Main lines, most intense first (2θ from 10° to 90°):
2θ 30.3, 2.947 Å, intensity 100, (1 1 0)
2θ 53.9, 1.700 Å, intensity 27, (2 1 1)
2θ 21.3, 4.168 Å, intensity 22, (1 0 0)
2θ 43.5, 2.081 Å, intensity 20, (2 0 0)
2θ 53.8, 1.704 Å, intensity 14, (1 1 2)
2θ 63.0, 1.475 Å, intensity 12, (2 0 2)
2θ 71.7, 1.316 Å, intensity 12, (3 1 0)
2θ 43.3, 2.090 Å, intensity 10, (0 0 2)



Computed XRD peak list of NaTbNO for Cu Kα X-rays, from DFT lattice parameters and positions (PBE).
Lines closer than 0.1° are merged.

Cell and atoms:
```
data_NaTbNO
_cell_length_a 6.760
_cell_length_b 8.128
_cell_length_c 4.843
_cell_angle_alpha 90.00
_cell_angle_beta 90.00
_cell_angle_gamma 90.00
_space_group_name_H-M_alt 'P c a 21'
_space_group_IT_number 29
loop_
_space_group_symop_operation_xyz
'x,y,z'
'-x,-y,z+1/2'
'-x+1/2,y,z+1/2'
'x+1/2,-y,z'
loop_
_atom_site_label
_atom_site_type_symbol
_atom_site_fract_x
_atom_site_fract_y
_atom_site_fract_z
_atom_site_occupancy
Na1 Na 0.095 0.101 0.000 1
Tb1 Tb 0.067 0.642 0.999 1
N1 N 0.098 0.611 0.498 1
O1 O 0.076 0.135 0.500 1
```

Main lines, most intense first (2θ from 10° to 90°):
2θ 25.1, 3.543 Å, intensity 100, (1 1 1)
2θ 10.9, 8.128 Å, intensity 95, (0 1 0)
2θ 31.6, 2.828 Å, intensity 92, (1 2 1)
2θ 46.1, 1.970 Å, intensity 50, (3 2 0)
2θ 25.6, 3.483 Å, intensity 39, (1 2 0)
2θ 37.1, 2.421 Å, intensity 38, (0 0 2)
2θ 26.4, 3.380 Å, intensity 35, (2 0 0)
2θ 32.3, 2.772 Å, intensity 32, (2 0 1)



Computed XRD peak list of Ba3Co2Cu2P4 for Cu Kα X-rays, from DFT lattice parameters and positions (PBE).
Lines closer than 0.1° are merged.

Cell and atoms:
```
data_Ba3Co2Cu2P4
_cell_length_a 3.9951
_cell_length_b 3.9951
_cell_length_c 16.8002
_cell_angle_alpha 90.00
_cell_angle_beta 90.00
_cell_angle_gamma 120.00
_space_group_name_H-M_alt 'P -3 m 1'
_space_group_IT_number 164
_space_group_name_Hall '-P 3 2"'
loop_
_atom_site_label
_atom_site_type_symbol
_atom_site_fract_x
_atom_site_fract_y
_atom_site_fract_z
_atom_site_occupancy
Ba1 Ba 0.0000 0.0000 0.0000 1
Ba2 Ba 0.0000 0.0000 0.2884 1
Co1 Co 0.3333 0.6667 0.5500 1
Cu1 Cu 0.3333 0.6667 0.1431 1
P1 P 0.3333 0.6667 0.4224 1
P2 P 0.3333 0.6667 0.8581 1
```

Main lines, most intense first (2θ from 10° to 90°):
2θ 30.4, 2.943 Å, intensity 100, (1 0 3)
2θ 33.6, 2.670 Å, intensity 53, (0 1 4)
2θ 45.4, 1.998 Å, intensity 51, (1 1 0)
2θ 60.3, 1.535 Å, intensity 37, (1 1 7)
2θ 37.5, 2.400 Å, intensity 26, (0 0 7)
2θ 27.9, 3.199 Å, intensity 19, (1 0 2)
2θ 55.6, 1.653 Å, intensity 17, (0 2 3)
2θ 61.3, 1.511 Å, intensity 16, (0 1 10)



Computed XRD peak list of Na2Nb2Ni3 for Cu Kα X-rays, from DFT lattice parameters and positions (PBE).
Lines closer than 0.1° are merged.

Cell and atoms:
```
data_Na2Nb2Ni3
_cell_length_a 4.3204
_cell_length_b 4.3204
_cell_length_c 20.8692
_cell_angle_alpha 90.00
_cell_angle_beta 90.00
_cell_angle_gamma 120.00
_space_group_name_H-M_alt 'R 3 m'
_space_group_IT_number 160
_space_group_name_Hall 'R 3 -2"'
loop_
_atom_site_label
_atom_site_type_symbol
_atom_site_fract_x
_atom_site_fract_y
_atom_site_fract_z
_atom_site_occupancy
Na1 Na 0.0000 0.0000 0.0000 1
Na2 Na 0.0000 0.0000 0.4892 1
Nb1 Nb 0.0000 0.0000 0.2421 1
Nb2 Nb 0.0000 0.0000 0.7439 1
Ni1 Ni 0.0000 0.0000 0.3646 1
Ni2 Ni 0.0000 0.0000 0.6192 1
Ni3 Ni 0.0000 0.0000 0.8724 1
```

Main lines, most intense first (2θ from 10° to 90°):
2θ 41.8, 2.160 Å, intensity 100, (1 1 0)
2θ 42.2, 2.140 Å, intensity 95, (0 1 8)
2θ 25.3, 3.522 Å, intensity 51, (0 1 2)
2θ 60.9, 1.520 Å, intensity 30, (2 0 8)
2θ 76.6, 1.243 Å, intensity 29, (1 2 8)
2θ 25.6, 3.478 Å, intensity 17, (0 0 6)
2θ 12.7, 6.956 Å, intensity 16, (0 0 3)
2θ 49.7, 1.835 Å, intensity 16, (1 1 6)



Computed XRD peak list of TbPrW2C3 for Cu Kα X-rays, from DFT lattice parameters and positions (PBE).
Lines closer than 0.1° are merged.

Cell and atoms:
```
data_TbPrW2C3
_cell_length_a 12.144
_cell_length_b 3.379
_cell_length_c 5.848
_cell_angle_alpha 90.00
_cell_angle_beta 114.37
_cell_angle_gamma 90.00
_space_group_name_H-M_alt 'C 1 m 1'
_space_group_IT_number 8
loop_
_space_group_symop_operation_xyz
'x,y,z'
'x,-y,z'
'x+1/2,y+1/2,z'
'x+1/2,-y+1/2,z'
loop_
_atom_site_label
_atom_site_type_symbol
_atom_site_fract_x
_atom_site_fract_y
_atom_site_fract_z
_atom_site_occupancy
Tb1 Tb 0.000 0.000 0.000 1
Pr1 Pr 0.217 0.000 0.630 1
W1 W 0.269 0.500 0.146 1
W2 W 0.454 0.000 0.500 1
C1 C 0.109 0.500 0.832 1
C2 C 0.362 0.000 0.094 1
C3 C 0.364 0.500 0.551 1
```

Main lines, most intense first (2θ from 10° to 90°):
2θ 34.1, 2.626 Å, intensity 100, (1 1 1)
2θ 35.3, 2.545 Å, intensity 77, (3 1 -1)
2θ 30.6, 2.919 Å, intensity 55, (2 0 -2)
2θ 32.4, 2.765 Å, intensity 39, (4 0 0)
2θ 33.6, 2.664 Å, intensity 28, (0 0 2)
2θ 54.5, 1.685 Å, intensity 26, (3 1 -3)
2θ 35.9, 2.503 Å, intensity 25, (4 0 -2)
2θ 29.6, 3.016 Å, intensity 24, (4 0 -1)



Computed XRD peak list of Pr2O3 for Cu Kα X-rays, from DFT lattice parameters and positions (PBE).
Lines closer than 0.1° are merged.

Cell and atoms:
```
data_Pr2O3
_cell_length_a 11.205
_cell_length_b 11.205
_cell_length_c 11.205
_cell_angle_alpha 90.00
_cell_angle_beta 90.00
_cell_angle_gamma 90.00
_space_group_name_H-M_alt 'I a -3'
_space_group_IT_number 206
_space_group_name_Hall '-I 2b 2c 3'
loop_
_atom_site_label
_atom_site_type_symbol
_atom_site_fract_x
_atom_site_fract_y
_atom_site_fract_z
_atom_site_occupancy
Pr1 Pr 0.000 0.250 0.469 1
Pr2 Pr 0.250 0.250 0.250 1
O1 O 0.110 0.149 0.621 1
```

Main lines, most intense first (2θ from 10° to 90°):
2θ 27.6, 3.235 Å, intensity 100, (2 2 2)
2θ 45.8, 1.981 Å, intensity 41, (4 4 0)
2θ 54.3, 1.689 Å, intensity 34, (6 2 2)
2θ 31.9, 2.801 Å, intensity 33, (4 0 0)
2θ 73.7, 1.285 Å, intensity 10, (6 6 2)
2θ 19.4, 4.575 Å, intensity 9, (2 1 1)
2θ 41.1, 2.198 Å, intensity 7, (4 1 3)
2θ 76.0, 1.253 Å, intensity 7, (8 4 0)



Computed XRD peak list of Tb2TmIn3PdAu2 for Cu Kα X-rays, from DFT lattice parameters and positions (PBE).
Lines closer than 0.1° are merged.

Cell and atoms:
```
data_Tb2TmIn3PdAu2
_cell_length_a 3.915
_cell_length_b 13.407
_cell_length_c 7.769
_cell_angle_alpha 90.00
_cell_angle_beta 90.00
_cell_angle_gamma 90.00
_space_group_name_H-M_alt 'A m m 2'
_space_group_IT_number 38
loop_
_space_group_symop_operation_xyz
'x,y,z'
'-x,-y,z'
'-x,y,z'
'x,-y,z'
'x,y+1/2,z+1/2'
'-x,-y+1/2,z+1/2'
'-x,y+1/2,z+1/2'
'x,-y+1/2,z+1/2'
loop_
_atom_site_label
_atom_site_type_symbol
_atom_site_fract_x
_atom_site_fract_y
_atom_site_fract_z
_atom_site_occupancy
Tb1 Tb 0.000 0.203 0.000 1
Tm1 Tm 0.000 0.000 0.393 1
In1 In 0.500 0.000 0.052 1
In2 In 0.500 0.128 0.669 1
Pd1 Pd 0.000 0.000 0.794 1
Au1 Au 0.500 0.164 0.298 1
```

Main lines, most intense first (2θ from 10° to 90°):
2θ 32.5, 2.755 Å, intensity 100, (1 3 1)
2θ 35.2, 2.549 Å, intensity 86, (1 4 0)
2θ 40.2, 2.241 Å, intensity 31, (0 3 3)
2θ 35.3, 2.540 Å, intensity 30, (0 1 3)
2θ 42.4, 2.130 Å, intensity 30, (1 4 2)
2θ 63.1, 1.474 Å, intensity 25, (2 6 0)
2θ 46.4, 1.957 Å, intensity 24, (2 0 0)
2θ 65.1, 1.433 Å, intensity 20, (1 7 3)



Computed XRD peak list of HoScSi2Pt4 for Cu Kα X-rays, from DFT lattice parameters and positions (PBE).
Lines closer than 0.1° are merged.

Cell and atoms:
```
data_HoScSi2Pt4
_cell_length_a 7.077
_cell_length_b 3.784
_cell_length_c 10.032
_cell_angle_alpha 90.00
_cell_angle_beta 90.00
_cell_angle_gamma 90.00
_space_group_name_H-M_alt 'A m m 2'
_space_group_IT_number 38
loop_
_space_group_symop_operation_xyz
'x,y,z'
'-x,-y,z'
'-x,y,z'
'x,-y,z'
'x,y+1/2,z+1/2'
'-x,-y+1/2,z+1/2'
'-x,y+1/2,z+1/2'
'x,-y+1/2,z+1/2'
loop_
_atom_site_label
_atom_site_type_symbol
_atom_site_fract_x
_atom_site_fract_y
_atom_site_fract_z
_atom_site_occupancy
Ho1 Ho 0.000 0.000 0.000 1
Sc1 Sc 0.500 0.000 0.098 1
Si1 Si 0.000 0.000 0.282 1
Si2 Si 0.500 0.000 0.818 1
Pt1 Pt 0.204 0.000 0.692 1
Pt2 Pt 0.302 0.000 0.411 1
```

Main lines, most intense first (2θ from 10° to 90°):
2θ 35.9, 2.505 Å, intensity 100, (0 1 3)
2θ 44.3, 2.046 Å, intensity 33, (2 0 4)
2θ 65.9, 1.417 Å, intensity 24, (3 1 5)
2θ 25.2, 3.540 Å, intensity 23, (2 0 0)
2θ 42.3, 2.135 Å, intensity 21, (3 0 2)
2θ 38.1, 2.362 Å, intensity 19, (1 1 3)
2θ 48.1, 1.892 Å, intensity 15, (0 2 0)
2θ 46.2, 1.963 Å, intensity 15, (3 1 1)



Computed XRD peak list of Sn5W3Au for Cu Kα X-rays, from DFT lattice parameters and positions (PBE).
Lines closer than 0.1° are merged.

Cell and atoms:
```
data_Sn5W3Au
_cell_length_a 5.5450
_cell_length_b 5.5450
_cell_length_c 7.7680
_cell_angle_alpha 90.00
_cell_angle_beta 90.00
_cell_angle_gamma 120.00
_space_group_name_H-M_alt 'P 6/m m m'
_space_group_IT_number 191
_space_group_name_Hall '-P 6 2'
loop_
_atom_site_label
_atom_site_type_symbol
_atom_site_fract_x
_atom_site_fract_y
_atom_site_fract_z
_atom_site_occupancy
Sn1 Sn 0.0000 0.0000 0.0000 1
Sn2 Sn 0.3333 0.6667 0.3100 1
W1 W 0.0000 0.5000 0.0000 1
Au1 Au 0.0000 0.0000 0.5000 1
```

Main lines, most intense first (2θ from 10° to 90°):
2θ 44.4, 2.042 Å, intensity 100, (2 0 2)
2θ 32.3, 2.773 Å, intensity 43, (1 1 0)
2θ 39.3, 2.294 Å, intensity 40, (2 0 1)
2θ 34.3, 2.611 Å, intensity 35, (1 1 1)
2θ 11.4, 7.768 Å, intensity 35, (0 0 1)
2θ 39.5, 2.279 Å, intensity 29, (1 0 3)
2θ 37.5, 2.401 Å, intensity 28, (2 0 0)
2θ 29.6, 3.020 Å, intensity 27, (1 0 2)



Computed XRD peak list of Nd2I2BrN for Cu Kα X-rays, from DFT lattice parameters and positions (PBE).
Lines closer than 0.1° are merged.

Cell and atoms:
```
data_Nd2I2BrN
_cell_length_a 19.221
_cell_length_b 4.116
_cell_length_c 12.420
_cell_angle_alpha 90.00
_cell_angle_beta 124.24
_cell_angle_gamma 90.00
_space_group_name_H-M_alt 'C 1 2/m 1'
_space_group_IT_number 12
loop_
_space_group_symop_operation_xyz
'x,y,z'
'-x,-y,-z'
'-x,y,-z'
'x,-y,z'
'x+1/2,y+1/2,z'
'-x+1/2,-y+1/2,-z'
'-x+1/2,y+1/2,-z'
'x+1/2,-y+1/2,z'
loop_
_atom_site_label
_atom_site_type_symbol
_atom_site_fract_x
_atom_site_fract_y
_atom_site_fract_z
_atom_site_occupancy
Nd1 Nd 0.074 0.000 0.458 1
Nd2 Nd 0.133 0.500 0.775 1
I1 I 0.161 0.000 0.006 1
I2 I 0.227 0.500 0.622 1
Br1 Br 0.037 0.500 0.258 1
N1 N 0.073 0.000 0.647 1
```

Main lines, most intense first (2θ from 10° to 90°):
2θ 30.3, 2.952 Å, intensity 100, (1 1 2)
2θ 29.7, 3.006 Å, intensity 59, (6 0 -1)
2θ 25.1, 3.549 Å, intensity 50, (1 1 1)
2θ 28.9, 3.089 Å, intensity 47, (4 0 -4)
2θ 26.3, 3.388 Å, intensity 40, (1 1 -2)
2θ 39.7, 2.273 Å, intensity 40, (7 1 -3)
2θ 33.5, 2.673 Å, intensity 38, (5 1 -3)
2θ 44.0, 2.058 Å, intensity 35, (0 2 0)



Computed XRD peak list of Zr3Ni3As4Pd for Cu Kα X-rays, from DFT lattice parameters and positions (PBE).
Lines closer than 0.1° are merged.

Cell and atoms:
```
data_Zr3Ni3As4Pd
_cell_length_a 6.521
_cell_length_b 3.874
_cell_length_c 7.366
_cell_angle_alpha 90.00
_cell_angle_beta 91.07
_cell_angle_gamma 90.00
_space_group_name_H-M_alt 'P 1 m 1'
_space_group_IT_number 6
loop_
_space_group_symop_operation_xyz
'x,y,z'
'x,-y,z'
loop_
_atom_site_label
_atom_site_type_symbol
_atom_site_fract_x
_atom_site_fract_y
_atom_site_fract_z
_atom_site_occupancy
Zr1 Zr 0.000 0.000 0.000 1
Zr2 Zr 0.062 0.500 0.620 1
Zr3 Zr 0.552 0.500 0.481 1
Ni1 Ni 0.145 0.500 0.250 1
Ni2 Ni 0.675 0.500 0.865 1
Ni3 Ni 0.893 0.000 0.365 1
As1 As 0.270 0.000 0.400 1
As2 As 0.297 0.500 0.954 1
As3 As 0.766 0.500 0.181 1
As4 As 0.772 0.000 0.681 1
Pd1 Pd 0.384 0.000 0.753 1
```

Main lines, most intense first (2θ from 10° to 90°):
2θ 43.6, 2.074 Å, intensity 100, (0 1 3)
2θ 36.5, 2.459 Å, intensity 93, (1 1 2)
2θ 37.9, 2.373 Å, intensity 89, (2 1 -1)
2θ 46.9, 1.937 Å, intensity 75, (0 2 0)
2θ 38.3, 2.352 Å, intensity 64, (2 1 1)
2θ 36.0, 2.494 Å, intensity 62, (2 1 0)
2θ 45.7, 1.985 Å, intensity 34, (1 1 -3)
2θ 39.0, 2.312 Å, intensity 28, (1 0 -3)



Computed XRD peak list of Y2Tm2CI5 for Cu Kα X-rays, from DFT lattice parameters and positions (PBE).
Lines closer than 0.1° are merged.

Cell and atoms:
```
data_Y2Tm2CI5
_cell_length_a 18.967
_cell_length_b 3.932
_cell_length_c 8.551
_cell_angle_alpha 90.00
_cell_angle_beta 102.73
_cell_angle_gamma 90.00
_space_group_name_H-M_alt 'C 1 2/m 1'
_space_group_IT_number 12
loop_
_space_group_symop_operation_xyz
'x,y,z'
'-x,-y,-z'
'-x,y,-z'
'x,-y,z'
'x+1/2,y+1/2,z'
'-x+1/2,-y+1/2,-z'
'-x+1/2,y+1/2,-z'
'x+1/2,-y+1/2,z'
loop_
_atom_site_label
_atom_site_type_symbol
_atom_site_fract_x
_atom_site_fract_y
_atom_site_fract_z
_atom_site_occupancy
Y1 Y 0.130 0.000 0.065 1
Tm1 Tm 0.000 0.500 0.186 1
C1 C 0.000 0.000 0.000 1
I1 I 0.000 0.000 0.500 1
I2 I 0.162 0.500 0.343 1
I3 I 0.166 0.500 0.818 1
```

Main lines, most intense first (2θ from 10° to 90°):
2θ 30.9, 2.894 Å, intensity 100, (1 1 -2)
2θ 29.0, 3.083 Å, intensity 55, (6 0 0)
2θ 33.3, 2.694 Å, intensity 33, (5 1 0)
2θ 42.8, 2.114 Å, intensity 31, (5 1 2)
2θ 42.9, 2.107 Å, intensity 29, (7 1 -2)
2θ 23.1, 3.846 Å, intensity 21, (1 1 0)
2θ 46.2, 1.966 Å, intensity 20, (0 2 0)
2θ 30.2, 2.963 Å, intensity 19, (3 1 1)